The following is a computed PXRD pattern of Na3CaTaSi2SO12. It was derived from a crystal structure in the Materials Project, relaxed with PBE, using a wavelength of 1.5418 Å.
Lines closer than 0.1° are merged.

```
data_Na3CaTaSi2SO12
_chemical_formula_sum 'Na12 Ca4 Ta4 Si8 S4 O48'
_cell_length_a 16.020
_cell_length_b 9.279
_cell_length_c 9.214
_cell_angle_alpha 90.00
_cell_angle_beta 124.92
_cell_angle_gamma 90.00
_symmetry_space_group_name_H-M 'C 1 c 1'
_symmetry_Int_Tables_number 9
loop_
_symmetry_equiv_pos_as_xyz
'x,y,z'
'x,-y,z+1/2'
'x+1/2,y+1/2,z'
'x+1/2,-y+1/2,z+1/2'
loop_
_atom_site_label
_atom_site_type_symbol
_atom_site_fract_x
_atom_site_fract_y
_atom_site_fract_z
_atom_site_occupancy
Na1 Na 0.000 0.041 0.000 1
Na2 Na 0.079 0.224 0.756 1
Na3 Na 0.169 0.399 0.545 1
Ca1 Ca 0.429 0.248 0.829 1
Ta1 Ta 0.227 0.247 0.215 1
Si1 Si 0.186 0.092 0.525 1
Si2 Si 0.330 0.451 0.034 1
S1 S 0.483 0.115 0.524 1
O1 O 0.064 0.294 0.025 1
O2 O 0.089 0.162 0.510 1
O3 O 0.184 0.089 0.041 1
O4 O 0.187 0.136 0.343 1
O5 O 0.241 0.364 0.046 1
O6 O 0.260 0.424 0.360 1
O7 O 0.284 0.160 0.690 1
O8 O 0.383 0.178 0.372 1
O9 O 0.400 0.456 0.707 1
O10 O 0.403 0.346 0.017 1
O11 O 0.495 0.132 0.691 1
O12 O 0.499 0.034 0.994 1
```

Principal peaks in the range 2θ = 10–90°, low angle first:
two_theta, d [Å], I/Imax, h k l
13.5, 6.546, 96.5, 1 1 -1
19.1, 4.635, 100.0, 0 2 0
19.3, 4.607, 35.3, 2 0 -2
27.3, 3.269, 22.8, 2 2 -2
30.5, 2.933, 76.3, 3 1 1
30.6, 2.918, 38.3, 3 1 -3
33.5, 2.677, 47.9, 3 3 -1
33.6, 2.670, 20.9, 6 0 -2
45.9, 1.979, 21.8, 6 2 0
52.2, 1.754, 22.8, 3 5 -1